No. 1
Structure and calculated PXRD pattern of DyAlAu (DFT lattice parameters and positions (PBE); λ = 1.5418 Å (Cu Kα)).
No peak broadening, texture or thermal motion is included.

Main lines, by intensity (2θ from 10° to 90°):
2theta	Rel. int.	h k l
33.93	100	2 1 1
26.09	44	1 1 1
40.14	33	0 1 3
32.92	31	1 1 2
25.98	28	1 0 2
40.37	27	0 2 0
65.04	16	3 1 4
44.30	15	3 0 2
39.21	13	3 0 1
53.68	12	2 2 2

Crystal structure
```
data_DyAlAu
_chemical_formula_sum 'Dy4 Al4 Au4'
_symmetry_space_group_name_H-M 'P n m a'
_symmetry_Int_Tables_number 62
_cell_length_a 7.2129
_cell_length_b 4.4687
_cell_length_c 7.7969
_cell_angle_alpha 90.00
_cell_angle_beta 90.00
_cell_angle_gamma 90.00
loop_
_symmetry_equiv_pos_as_xyz
'x,y,z'
'-x,-y,-z'
'-x+1/2,-y,z+1/2'
'x+1/2,y,-z+1/2'
'x+1/2,-y+1/2,-z+1/2'
'-x+1/2,y+1/2,z+1/2'
'-x,y+1/2,-z'
'x,-y+1/2,z'
loop_
_atom_site_label
_atom_site_fract_x
_atom_site_fract_y
_atom_site_fract_z
Dy1 0.0092 0.2500 0.1943
Al1 0.1686 0.2500 0.5763
Au1 0.2146 0.7500 0.4022
```

No. 2
Structure and calculated PXRD pattern of Ba2YCu3SO6 (DFT lattice parameters and positions (PBE); λ = 1.5418 Å (Cu Kα)).
No peak broadening, texture or thermal motion is included.

Main lines, by intensity (2θ from 10° to 90°):
2theta	Rel. int.	h k l
31.87	100	1 1 0
32.36	96	1 0 3
30.81	80	0 1 3
55.14	41	1 2 3
43.38	41	0 2 0
47.91	30	2 0 0
58.05	26	2 1 3
36.66	24	0 1 4
66.60	21	2 2 0
39.07	20	1 1 3

Crystal structure
```
data_Ba2YCu3SO6
_chemical_formula_sum 'Ba2 Y1 Cu3 S1 O6'
_symmetry_space_group_name_H-M 'P m m m'
_symmetry_Int_Tables_number 47
_cell_length_a 3.7975
_cell_length_b 4.1716
_cell_length_c 12.1179
_cell_angle_alpha 90.00
_cell_angle_beta 90.00
_cell_angle_gamma 90.00
loop_
_symmetry_equiv_pos_as_xyz
'x,y,z'
'-x,-y,-z'
'-x,-y,z'
'x,y,-z'
'x,-y,-z'
'-x,y,z'
'-x,y,-z'
'x,-y,z'
loop_
_atom_site_label
_atom_site_fract_x
_atom_site_fract_y
_atom_site_fract_z
Ba1 0.0000 0.0000 0.2015
Y1 0.0000 0.0000 0.5000
Cu1 0.5000 0.5000 0.0000
Cu2 0.5000 0.5000 0.3582
S1 0.5000 0.0000 0.0000
O1 0.0000 0.5000 0.3830
O2 0.5000 0.0000 0.3796
O3 0.5000 0.5000 0.1598
```

No. 3
Structure and calculated PXRD pattern of ScBrO (DFT lattice parameters and positions (PBE); λ = 1.5418 Å (Cu Kα)).
No peak broadening, texture or thermal motion is included.

Main lines, by intensity (2θ from 10° to 90°):
2theta	Rel. int.	h k l
32.29	100	1 0 2
34.90	43	1 1 0
60.95	29	2 1 2
26.63	27	1 0 1
50.19	24	2 0 0
40.94	21	1 1 2
40.15	15	1 0 3
49.38	15	1 0 4
65.45	14	1 1 5
10.32	12	0 0 1

Crystal structure
```
data_ScBrO
_chemical_formula_sum 'Sc2 Br2 O2'
_symmetry_space_group_name_H-M 'P 4/n m m'
_symmetry_Int_Tables_number 129
_cell_length_a 3.6356
_cell_length_b 3.6356
_cell_length_c 8.5689
_cell_angle_alpha 90.00
_cell_angle_beta 90.00
_cell_angle_gamma 90.00
loop_
_symmetry_equiv_pos_as_xyz
'x,y,z'
'-x,-y,-z'
'-y+1/2,x,z'
'y+1/2,-x,-z'
'-x+1/2,-y+1/2,z'
'x+1/2,y+1/2,-z'
'y,-x+1/2,z'
'-y,x+1/2,-z'
'x+1/2,-y,-z'
'-x+1/2,y,z'
'-y,-x,-z'
'y,x,z'
'-x,y+1/2,-z'
'x,-y+1/2,z'
'y+1/2,x+1/2,-z'
'-y+1/2,-x+1/2,z'
loop_
_atom_site_label
_atom_site_fract_x
_atom_site_fract_y
_atom_site_fract_z
Sc1 0.2500 0.2500 0.1213
Br1 0.2500 0.2500 0.6820
O1 0.2500 0.7500 0.0000
```

No. 4
Structure and calculated PXRD pattern of U2PtC2 (DFT lattice parameters and positions (PBE); λ = 1.5418 Å (Cu Kα)).
No peak broadening, texture or thermal motion is included.

Main lines, by intensity (2θ from 10° to 90°):
2theta	Rel. int.	h k l
33.29	100	1 0 3
36.05	50	1 1 0
63.07	34	2 1 3
57.64	19	1 1 6
51.90	18	2 0 0
69.90	11	2 0 6
43.39	11	0 0 6
87.57	9	3 1 0
85.99	8	3 0 3
44.40	6	1 0 5

Crystal structure
```
data_U2PtC2
_chemical_formula_sum 'U4 Pt2 C4'
_symmetry_space_group_name_H-M 'I 4/m m m'
_symmetry_Int_Tables_number 139
_symmetry_space_group_name_Hall '-I 4 2'
_cell_length_a 3.5233
_cell_length_b 3.5233
_cell_length_c 12.5126
_cell_angle_alpha 90.00
_cell_angle_beta 90.00
_cell_angle_gamma 90.00
loop_
_atom_site_label
_atom_site_fract_x
_atom_site_fract_y
_atom_site_fract_z
U1 0.0000 0.0000 0.1487
Pt1 0.0000 0.0000 0.5000
C1 0.0000 0.0000 0.3313
```

No. 5
Structure and calculated PXRD pattern of Mg14TiMn (DFT lattice parameters and positions (PBE); λ = 1.5418 Å (Cu Kα)).
No peak broadening, texture or thermal motion is included.

Main lines, by intensity (2θ from 10° to 90°):
2theta	Rel. int.	h k l
37.66	100	2 2 2
37.14	53	2 0 4
35.48	39	4 0 0
33.06	26	0 2 2
70.15	19	4 2 6
65.14	17	6 2 2
58.32	17	0 2 6
49.28	16	4 2 2
72.19	13	2 4 4
32.48	13	0 0 4

Crystal structure
```
data_Mg14TiMn
_chemical_formula_sum 'Mg28 Ti2 Mn2'
_symmetry_space_group_name_H-M 'A m m 2'
_symmetry_Int_Tables_number 38
_cell_length_a 10.1209
_cell_length_b 6.2222
_cell_length_c 11.0264
_cell_angle_alpha 90.00
_cell_angle_beta 90.00
_cell_angle_gamma 90.00
loop_
_symmetry_equiv_pos_as_xyz
'x,y,z'
'-x,-y,z'
'-x,y,z'
'x,-y,z'
'x,y+1/2,z+1/2'
'-x,-y+1/2,z+1/2'
'-x,y+1/2,z+1/2'
'x,-y+1/2,z+1/2'
loop_
_atom_site_label
_atom_site_fract_x
_atom_site_fract_y
_atom_site_fract_z
Mg1 0.0000 0.0000 0.0000
Mg2 0.0000 0.0000 0.4998
Mg3 0.0000 0.2501 0.2510
Mg4 0.2527 0.0000 0.1636
Mg5 0.2588 0.0000 0.6623
Mg6 0.2604 0.2498 0.4195
Mg7 0.5000 0.2467 0.2513
Ti1 0.5000 0.0000 0.0047
Mn1 0.5000 0.0000 0.4976
```

No. 6
Structure and calculated PXRD pattern of ThMg2 (DFT lattice parameters and positions (PBE); λ = 1.5418 Å (Cu Kα)).
No peak broadening, texture or thermal motion is included.

Main lines, by intensity (2θ from 10° to 90°):
2theta	Rel. int.	h k l
29.54	100	2 2 0
34.78	89	3 1 1
17.96	75	1 1 1
52.40	42	4 2 2
55.85	31	5 1 1
84.82	22	6 4 2
46.26	21	3 3 1
87.62	20	7 3 1
61.30	20	4 4 0
69.50	18	6 2 0

Crystal structure
a b c (Å): 8.5541 8.5541 8.5541
angles (deg): 90.00 90.00 90.00
Space group Fd-3m (No. 227, origin choice 2)
Symmetry-distinct sites (fractional):
Th 0.1250 0.1250 0.1250 x8
Mg 0.0000 0.0000 0.5000 x16